No. 1
Starting from a cell relaxed with PBE, the powder diffraction line list of LaZnCu3 was computed for Cu Ka.
Neutral-atom scattering factors, no anomalous dispersion.

Most intense lines, 5° ≤ 2θ ≤ 70°, in order of falling intensity:
2.574 Å, intensity 100, (1 -1 1); 2.161 Å, intensity 94, (2 0 1); 2.568 Å, intensity 55, (0 1 2); 2.597 Å, intensity 50, (1 0 -1); 2.610 Å, intensity 37, (1 1 0); 1.651 Å, intensity 19, (2 1 3); 1.772 Å, intensity 17, (0 1 -2); 1.535 Å, intensity 15, (2 2 2); 1.522 Å, intensity 15, (2 -2 0); 1.756 Å, intensity 14, (1 0 3); 3.070 Å, intensity 14, (1 1 1); 3.044 Å, intensity 14, (1 -1 0)

Atomic structure:
```
data_LaZnCu3
_cell_length_a 4.323
_cell_length_b 4.324
_cell_length_c 5.681
_cell_angle_alpha 68.14
_cell_angle_beta 67.96
_cell_angle_gamma 89.50
_symmetry_space_group_name_H-M 'P 1'
_symmetry_Int_Tables_number 1
loop_
_symmetry_equiv_pos_as_xyz
'x,y,z'
loop_
_atom_site_label
_atom_site_type_symbol
_atom_site_fract_x
_atom_site_fract_y
_atom_site_fract_z
La1 La 0.000 0.000 0.000
Zn1 Zn 0.371 0.374 0.260
Cu1 Cu 0.241 0.753 0.510
Cu2 Cu 0.622 0.617 0.755
Cu3 Cu 0.749 0.235 0.510
```

---

No. 2
Starting from a cell relaxed with PBE, the powder diffraction line list of LaZn5Cu2 was computed for Cu Ka.
Neutral-atom scattering factors, no anomalous dispersion.

Most intense lines, 5° ≤ 2θ ≤ 70°, in order of falling intensity:
2.501 Å, intensity 100, (1 0 3); 2.588 Å, intensity 100, (1 2 1); 1.999 Å, intensity 57, (0 2 4); 2.007 Å, intensity 44, (2 0 0); 2.833 Å, intensity 36, (1 1 2); 1.416 Å, intensity 35, (2 2 4); 1.899 Å, intensity 29, (1 3 2); 2.067 Å, intensity 28, (1 3 0); 2.339 Å, intensity 18, (0 3 1); 2.925 Å, intensity 18, (0 1 3); 3.618 Å, intensity 13, (0 2 0); 1.455 Å, intensity 13, (1 1 6)

Atomic structure:
```
data_LaZn5Cu2
_cell_length_a 4.015
_cell_length_b 7.235
_cell_length_c 9.592
_cell_angle_alpha 90.00
_cell_angle_beta 90.00
_cell_angle_gamma 90.00
_symmetry_space_group_name_H-M 'I m m m'
_symmetry_Int_Tables_number 71
_symmetry_space_group_name_Hall '-I 2 2'
loop_
_atom_site_label
_atom_site_type_symbol
_atom_site_fract_x
_atom_site_fract_y
_atom_site_fract_z
La1 La 0.000 0.000 0.000
Zn1 Zn 0.000 0.186 0.352
Zn2 Zn 0.000 0.500 0.000
Cu1 Cu 0.000 0.500 0.252
```

---

What did the first record say?
Starting from a cell relaxed with PBE, the powder diffraction line list of LaZnCu3 was computed for Cu Ka.
Neutral-atom scattering factors, no anomalous dispersion.

Most intense lines, 5° ≤ 2θ ≤ 70°, in order of falling intensity:
2.574 Å, intensity 100, (1 -1 1); 2.161 Å, intensity 94, (2 0 1); 2.568 Å, intensity 55, (0 1 2); 2.597 Å, intensity 50, (1 0 -1); 2.610 Å, intensity 37, (1 1 0); 1.651 Å, intensity 19, (2 1 3); 1.772 Å, intensity 17, (0 1 -2); 1.535 Å, intensity 15, (2 2 2); 1.522 Å, intensity 15, (2 -2 0); 1.756 Å, intensity 14, (1 0 3); 3.070 Å, intensity 14, (1 1 1); 3.044 Å, intensity 14, (1 -1 0)

Atomic structure:
```
data_LaZnCu3
_cell_length_a 4.323
_cell_length_b 4.324
_cell_length_c 5.681
_cell_angle_alpha 68.14
_cell_angle_beta 67.96
_cell_angle_gamma 89.50
_symmetry_space_group_name_H-M 'P 1'
_symmetry_Int_Tables_number 1
loop_
_symmetry_equiv_pos_as_xyz
'x,y,z'
loop_
_atom_site_label
_atom_site_type_symbol
_atom_site_fract_x
_atom_site_fract_y
_atom_site_fract_z
La1 La 0.000 0.000 0.000
Zn1 Zn 0.371 0.374 0.260
Cu1 Cu 0.241 0.753 0.510
Cu2 Cu 0.622 0.617 0.755
Cu3 Cu 0.749 0.235 0.510
```